Structure and theoretical PXRD pattern of SmAl3Cr4O12 (a crystal structure in Alexandria, relaxed with GGA+U; Cu Kα (λ = 1.5418 Å)).
Peak positions follow from Bragg's law for the DFT cell and can differ from measured ones.

Crystal structure
Cell: 7.401 7.401 7.401 Å, 90.00 90.00 90.00°
Space group Im-3 (No. 204)
Symmetry-distinct sites (fractional):
Sm  0.000  0.000  0.000 (multiplicity 2)
Al  0.000  0.000  0.500 (multiplicity 6)
Cr  0.250  0.250  0.250 (multiplicity 8)
O  0.000  0.170  0.316 (multiplicity 24)

Top 10 peaks for 10 to 80 degrees two-theta, sorted by position:
| 2θ (°) | d [Å] | I_rel | (hkl) |
| --- | --- | --- | --- |
| 16.94 | 5.233 | 46.7 | 1 1 0 |
| 29.57 | 3.021 | 19.7 | 2 1 1 |
| 34.27 | 2.617 | 100.0 | 2 2 0 |
| 38.46 | 2.340 | 29.7 | 3 1 0 |
| 45.88 | 1.978 | 29.7 | 3 2 1 |
| 49.25 | 1.850 | 25.4 | 4 0 0 |
| 61.37 | 1.511 | 52.3 | 4 2 2 |
| 64.17 | 1.451 | 10.7 | 4 1 3 |
| 72.21 | 1.308 | 11.9 | 4 4 0 |
| 79.90 | 1.201 | 7.8 | 5 3 2 |